(1)
Structure and computed X-ray powder pattern of NpH4 (DFT lattice parameters and positions (PBE); Cu Kα).
Peak positions follow from Bragg's law for the DFT cell and can differ from measured ones.

Main lines, low angle first (10 to 90 degrees two-theta):
2θ 22.16, intensity 100
2θ 31.54, intensity 84
2θ 38.88, intensity 31
2θ 45.20, intensity 17
2θ 50.89, intensity 46
2θ 56.16, intensity 34
2θ 65.84, intensity 11
2θ 70.40, intensity 22
2θ 74.84, intensity 15
2θ 79.18, intensity 13
2θ 83.46, intensity 4
2θ 87.70, intensity 10

Cell and atoms:
```
NpH4
1.0
4.0121 0.0000 0.0000
0.0000 4.0121 0.0000
0.0000 0.0000 4.0121
Np H
1 4
Cartesian
0.0000 0.0000 0.0000
0.0000 0.0000 2.0060
0.0000 2.0060 0.0000
2.0060 0.0000 0.0000
2.0060 2.0060 2.0060
```

(2)
Structure and computed X-ray powder pattern of AgCF4 (DFT lattice parameters and positions (PBE); Cu Kα).
Peak positions follow from Bragg's law for the DFT cell and can differ from measured ones.

Main lines, low angle first (10 to 90 degrees two-theta):
2θ 16.22, intensity 83
2θ 24.43, intensity 100
2θ 30.21, intensity 64
2θ 30.35, intensity 48
2θ 32.27, intensity 50
2θ 32.66, intensity 49
2θ 32.77, intensity 19
2θ 36.20, intensity 53
2θ 36.79, intensity 25
2θ 42.27, intensity 45
2θ 43.32, intensity 25
2θ 47.92, intensity 19

Cell and atoms:
```
AgCF4
1.0
4.1774 0.0000 0.0000
0.0041 4.2506 0.0000
0.0124 1.8645 10.9318
Ag C F
2 2 8
Cartesian
0.0000 0.0000 0.0000
2.1014 3.9166 10.8556
0.6881 1.2408 7.0708
2.7804 2.6755 3.7849
0.1895 4.8473 8.1352
0.2519 4.9372 5.9315
0.3085 2.5227 7.1119
2.0286 5.4178 7.1091
2.2776 3.3195 2.7206
2.3393 3.2292 4.9241
2.4011 1.3934 3.7436
4.1167 2.7495 3.7470
```